Calculated powder diffractogram of Tl5GaO4 for Cu Kα (weighted mean of Kα1 and Kα2), from a DFT-relaxed cell (PBE, Alexandria).
Peak positions follow from Bragg's law for the DFT cell and can differ from measured ones.

Atomic structure:
a b c (Å): 8.5065 8.5065 7.6724
angles (deg): 101.51 101.51 22.71
Sites, in units of the cell vectors:
Tl1 0.0000 0.0000 0.0000
Tl2 0.3478 0.3478 0.2028
Tl3 0.3518 0.3518 0.6653
Tl4 0.6482 0.6482 0.3347
Tl5 0.6522 0.6522 0.7972
Ga1 0.0000 0.0000 0.5000
O1 0.1207 0.1207 0.5518
O2 0.4996 0.4996 0.3192
O3 0.5004 0.5004 0.6808
O4 0.8793 0.8793 0.4482

Most intense lines, 10° ≤ 2θ ≤ 90°, by intensity:
2theta, I/Imax
31.36, 100
35.59, 94
28.84, 62
28.10, 62
32.91, 42
49.71, 27
47.44, 25
48.78, 24
57.55, 23
21.77, 18

---

Calculated powder diffractogram of LiScBe2Br for Cu Kα (weighted mean of Kα1 and Kα2), from a DFT-relaxed cell (PBE, Alexandria).
Peak positions follow from Bragg's law for the DFT cell and can differ from measured ones.

Atomic structure:
a b c (Å): 4.1820 4.1820 5.1782
angles (deg): 90.00 90.00 90.00
Sites, in units of the cell vectors:
Li1 0.0000 0.0000 0.0000
Sc1 0.0000 0.0000 0.5000
Be1 0.0000 0.5000 0.0000
Be2 0.5000 0.0000 0.0000
Br1 0.5000 0.5000 0.5000

Most intense lines, 10° ≤ 2θ ≤ 90°, by intensity:
2theta, I/Imax
34.94, 100
17.12, 97
30.22, 59
46.63, 34
43.27, 31
34.65, 30
46.86, 28
56.58, 27
73.98, 20
27.41, 19